Record 1
The following is a calculated XRD peak list of EuBr3. It was derived from a cell relaxed with GGA-PBE, using Cu Ka.
Peak positions follow from Bragg's law for the DFT cell and can differ from measured ones.

Structure:
```
data_EuBr3
_chemical_formula_sum 'Eu2 Br6'
_cell_length_a 7.0567
_cell_length_b 7.0567
_cell_length_c 9.1013
_cell_angle_alpha 90.00
_cell_angle_beta 90.00
_cell_angle_gamma 145.55
_space_group_name_H-M_alt 'P 1'
_space_group_IT_number 1
_space_group_name_Hall 'P 1'
loop_
_atom_site_label
_atom_site_type_symbol
_atom_site_fract_x
_atom_site_fract_y
_atom_site_fract_z
Eu1 Eu 0.2445 0.7555 0.7500
Eu2 Eu 0.7555 0.2445 0.2500
Br1 Br 0.1453 0.8547 0.0656
Br2 Br 0.1453 0.8547 0.4344
Br3 Br 0.4090 0.5910 0.2500
Br4 Br 0.5910 0.4090 0.7500
Br5 Br 0.8547 0.1453 0.5656
Br6 Br 0.8547 0.1453 0.9344
```

Top 12 peaks for 10 to 90 degrees two-theta, most intense first:
Position (°2θ)	Rel. int.
30.83	100
13.14	70
37.23	48
32.36	36
29.77	29
41.06	25
45.00	24
33.08	23
41.93	23
43.30	23
29.18	21
59.05	19

=====

Record 2
The following is a calculated XRD peak list of Tb3Au. It was derived from a cell relaxed with GGA-PBE, using Cu Ka.
Peak positions follow from Bragg's law for the DFT cell and can differ from measured ones.

Structure:
```
data_Tb3Au
_chemical_formula_sum 'Tb3 Au1'
_cell_length_a 4.7426
_cell_length_b 4.7426
_cell_length_c 4.7426
_cell_angle_alpha 90.00
_cell_angle_beta 90.00
_cell_angle_gamma 90.00
_space_group_name_H-M_alt 'P 1'
_space_group_IT_number 1
_space_group_name_Hall 'P 1'
loop_
_atom_site_label
_atom_site_type_symbol
_atom_site_fract_x
_atom_site_fract_y
_atom_site_fract_z
Tb1 Tb 0.0000 0.0000 0.5000
Tb2 Tb 0.0000 0.5000 0.0000
Tb3 Tb 0.5000 0.0000 0.0000
Au1 Au 0.5000 0.5000 0.5000
```

Top 9 peaks for 10 to 90 degrees two-theta, most intense first:
Position (°2θ)	Rel. int.
32.71	100
37.94	50
65.25	41
54.74	35
68.54	12
81.12	6
18.71	1
26.58	1
42.63	1

=====

Record 3
The following is a calculated XRD peak list of CrAgTe2. It was derived from a cell relaxed with GGA-PBE, using Cu Ka.
Peak positions follow from Bragg's law for the DFT cell and can differ from measured ones.

Structure:
```
data_CrAgTe2
_chemical_formula_sum 'Cr1 Ag1 Te2'
_cell_length_a 7.6471
_cell_length_b 7.6471
_cell_length_c 7.6471
_cell_angle_alpha 31.17
_cell_angle_beta 31.17
_cell_angle_gamma 31.17
_space_group_name_H-M_alt 'P 1'
_space_group_IT_number 1
_space_group_name_Hall 'P 1'
loop_
_atom_site_label
_atom_site_type_symbol
_atom_site_fract_x
_atom_site_fract_y
_atom_site_fract_z
Cr1 Cr 0.0000 0.0000 0.0000
Ag1 Ag 0.8551 0.8551 0.8551
Te1 Te 0.2655 0.2655 0.2655
Te2 Te 0.7304 0.7304 0.7304
```

Top 12 peaks for 10 to 90 degrees two-theta, most intense first:
Position (°2θ)	Rel. int.
26.35	100
38.40	74
44.08	74
41.74	43
29.99	43
25.36	34
81.04	32
32.47	23
59.86	19
79.44	19
77.26	18
58.94	16